Entry 1:
Simulated X-ray diffraction stick pattern
Compound: KSrNiH6
Radiation: Cu Kα
Structure: a PBE-relaxed structure
Intensities are scaled so that the largest is 100.

Cell and atoms:
```
9
Lattice="5.1481 0.0000 0.0000 -2.5741 4.4584 0.0000 0.0000 0.0000 4.8773" Properties=species:S:1:pos:R:3 pbc="T T T"
K 0.0000 0.0000 0.0000
Sr 0.0000 2.9723 2.3901
Ni 2.5741 1.4861 3.3800
H 1.4346 0.8283 2.4991
H 2.5741 0.1974 4.2958
H 1.4580 2.1305 4.2958
H 3.7135 0.8283 2.4991
H 2.5741 2.8018 2.4991
H 3.6902 2.1305 4.2958
```

Top 12 peaks for 2θ = 10–80°, low angle first:
2theta  I (rel.)
18.2  23
19.9  10
27.1  100
34.9  57
39.6  17
42.2  30
44.7  26
55.9  13
57.9  21
60.6  11
62.5  10
67.6  14


Entry 2:
Simulated X-ray diffraction stick pattern
Compound: Pr4Pd
Radiation: Cu Kα
Structure: a PBE-relaxed structure
Intensities are scaled so that the largest is 100.

Cell and atoms:
```
10
Lattice="3.7850 -6.6421 0.0000 3.7850 6.6421 0.0000 -3.7832 0.0000 6.6021" Properties=species:S:1:pos:R:3 pbc="T T T"
Pr 1.8934 6.5885 3.3011
Pr 0.0033 3.2621 4.5175
Pr 3.4912 0.6250 0.5284
Pr 1.5996 -0.6250 3.8295
Pr 3.4938 2.6951 3.9952
Pr 1.8949 -3.2621 1.2164
Pr 5.3854 -2.6951 0.6942
Pr 3.7850 -6.5885 0.0000
Pd 0.8055 1.6595 2.2576
Pd -1.0861 -1.6595 5.5586
```

Top 12 peaks for 2θ = 10–80°, low angle first:
2theta  I (rel.)
27.0  13
27.1  22
30.1  20
30.2  21
30.4  100
31.0  39
36.5  18
36.7  16
36.9  16
38.4  14
38.6  23
56.0  18


Entry 3:
Simulated X-ray diffraction stick pattern
Compound: Dy4Ga12Re
Radiation: Cu Kα
Structure: a PBE-relaxed structure
Intensities are scaled so that the largest is 100.

Cell and atoms:
```
17
Lattice="-4.3177 4.3177 4.3177 4.3177 -4.3177 4.3177 4.3177 4.3177 -4.3177" Properties=species:S:1:pos:R:3 pbc="T T T"
Dy 2.1589 2.1589 -2.1589
Dy 2.1589 -2.1589 2.1589
Dy -2.1589 2.1589 2.1589
Dy 2.1589 2.1589 2.1589
Ga 2.5229 0.0000 0.0000
Ga 6.1125 0.0000 0.0000
Ga 4.3177 2.1589 0.0000
Ga 4.3177 0.0000 2.1589
Ga 0.0000 2.5229 0.0000
Ga 0.0000 0.0000 2.5229
Ga 2.1589 4.3177 0.0000
Ga 2.1589 0.0000 4.3177
Ga 0.0000 6.1125 0.0000
Ga 0.0000 0.0000 6.1125
Ga 0.0000 4.3177 2.1589
Ga 0.0000 2.1589 4.3177
Re 0.0000 0.0000 0.0000
```

Top 12 peaks for 2θ = 10–80°, low angle first:
2theta  I (rel.)
14.5  9
29.3  51
32.8  15
36.0  100
39.0  22
41.8  80
49.5  13
51.9  16
60.7  48
68.8  14
72.6  30
76.4  15


Entry 4:
Simulated X-ray diffraction stick pattern
Compound: AcLa4Y2
Radiation: Cu Kα
Structure: a PBE-relaxed structure
Intensities are scaled so that the largest is 100.

Cell and atoms:
```
14
Lattice="9.6069 0.0000 0.0000 0.0000 9.6069 0.0000 0.0000 0.0000 5.9139" Properties=species:S:1:pos:R:3 pbc="T T T"
Ac 0.0000 0.0000 0.0000
Ac 4.8034 4.8034 2.9570
La 1.0005 3.5527 0.0000
La 1.2508 5.8039 2.9570
La 3.5527 1.0005 0.0000
La 3.8029 8.3561 2.9570
La 5.8039 1.2508 2.9570
La 6.0542 8.6064 0.0000
La 8.3561 3.8029 2.9570
La 8.6064 6.0542 0.0000
Y 1.8775 1.8775 2.9570
Y 2.9259 6.6809 0.0000
Y 6.6809 2.9259 0.0000
Y 7.7294 7.7294 2.9570
```

Top 12 peaks for 2θ = 10–80°, low angle first:
2theta  I (rel.)
17.6  35
25.6  35
26.2  20
29.4  50
30.2  63
30.3  100
31.8  57
33.2  63
42.7  45
48.3  27
58.1  36
63.2  25


Entry 5:
Simulated X-ray diffraction stick pattern
Compound: Tb10Dy4Ho
Radiation: Cu Kα
Structure: a PBE-relaxed structure
Intensities are scaled so that the largest is 100.

Cell and atoms:
```
15
Lattice="-6.0596 6.0596 3.8334 6.0596 -6.0596 3.8334 6.0596 6.0596 -3.8334" Properties=species:S:1:pos:R:3 pbc="T T T"
Tb 7.2646 3.6337 -1.9144
Tb 3.6337 4.8545 -1.9144
Tb 6.0596 0.0000 1.9167
Tb 2.4259 1.2050 1.9190
Tb -1.2050 2.4259 1.9190
Tb 7.2646 3.6337 1.9144
Tb 3.6337 4.8545 1.9144
Tb 0.0000 6.0596 1.9167
Tb 2.4259 1.2050 5.7479
Tb -1.2050 2.4259 5.7479
Dy 8.4897 1.2167 0.0000
Dy 1.2167 3.6295 0.0000
Dy 4.8429 2.4301 3.8334
Dy -2.4301 4.8429 3.8334
Ho 0.0000 0.0000 3.8334
```

Top 12 peaks for 2θ = 10–80°, low angle first:
2theta  I (rel.)
20.1  26
23.2  13
33.1  100
39.0  15
47.4  18
52.0  6
53.5  5
59.0  38
63.0  5
69.3  12
73.0  5
79.0  16


Entry 6:
Simulated X-ray diffraction stick pattern
Compound: Pm5ThPb6
Radiation: Cu Kα
Structure: a PBE-relaxed structure
Intensities are scaled so that the largest is 100.

Cell and atoms:
```
12
Lattice="-2.5078 4.5889 7.7400 2.5078 -4.5889 7.7400 2.5078 4.5889 -7.7400" Properties=species:S:1:pos:R:3 pbc="T T T"
Pm 0.0000 0.0000 0.0000
Pm 2.5078 0.0000 2.5958
Pm 0.0000 0.0000 5.1768
Pm 0.0000 0.0000 10.3032
Pm 0.0000 4.5889 5.1442
Th 0.0000 4.5889 0.0000
Pb 2.5078 -2.3041 5.1524
Pb 2.5078 2.2762 0.0000
Pb 0.0000 2.2848 2.5876
Pb 2.5078 2.3041 5.1524
Pb 0.0000 2.3127 7.7400
Pb 0.0000 6.8930 2.5876
```

Top 12 peaks for 2θ = 10–80°, low angle first:
2theta  I (rel.)
31.6  100
34.8  19
35.8  18
39.3  14
50.8  14
53.4  12
54.2  11
60.4  16
61.7  15
66.0  12
66.4  12
73.4  2


Entry 7:
Simulated X-ray diffraction stick pattern
Compound: K2UBr4O2
Radiation: Cu Kα
Structure: a PBE-relaxed structure
Intensities are scaled so that the largest is 100.

Cell and atoms:
```
9
Lattice="6.0949 -3.9821 0.0000 6.0949 3.9821 0.0000 -0.3050 0.0000 5.7811" Properties=species:S:1:pos:R:3 pbc="T T T"
K 1.8617 0.0000 1.6022
K 10.0230 0.0000 4.1789
U 6.0949 0.0000 0.0000
Br 4.6330 2.0659 1.3166
Br 7.2517 2.0659 4.4645
Br 4.6330 -2.0659 1.3166
Br 7.2517 -2.0659 4.4645
O 4.5377 0.0000 4.4885
O 7.3470 0.0000 1.2926
```

Top 12 peaks for 2θ = 10–80°, low angle first:
2theta  I (rel.)
13.3  60
14.6  39
15.3  41
20.0  26
20.6  45
21.8  56
24.6  37
30.6  100
37.2  29
38.5  24
42.0  23
53.8  19


Entry 8:
Simulated X-ray diffraction stick pattern
Compound: Nd2Tm12Zr
Radiation: Cu Kα
Structure: a PBE-relaxed structure
Intensities are scaled so that the largest is 100.

Cell and atoms:
```
30
Lattice="6.3612 0.0000 0.0000 0.0000 6.3612 0.0000 0.0000 0.0000 24.1658" Properties=species:S:1:pos:R:3 pbc="T T T"
Nd 1.5903 4.7709 5.5576
Nd 1.5903 4.7709 18.6082
Nd 4.7709 1.5903 5.5576
Nd 4.7709 1.5903 18.6082
Tm 0.3617 3.5423 9.5865
Tm 0.3617 5.9995 14.5793
Tm 0.5143 3.6949 1.4840
Tm 0.5143 5.8469 22.6818
Tm 1.5903 1.5903 3.9274
Tm 1.5903 1.5903 7.0989
Tm 1.5903 1.5903 17.0669
Tm 1.5903 1.5903 20.2384
Tm 2.6663 3.6949 22.6818
Tm 2.6663 5.8469 1.4840
Tm 2.8189 3.5423 14.5793
Tm 2.8189 5.9995 9.5865
Tm 3.5423 0.3617 14.5793
Tm 3.5423 2.8189 9.5865
Tm 3.6949 0.5143 22.6818
Tm 3.6949 2.6663 1.4840
Tm 4.7709 4.7709 3.9274
Tm 4.7709 4.7709 7.0989
Tm 4.7709 4.7709 17.0669
Tm 4.7709 4.7709 20.2384
Tm 5.8469 0.5143 1.4840
Tm 5.8469 2.6663 22.6818
Tm 5.9995 0.3617 9.5865
Tm 5.9995 2.8189 14.5793
Zr 1.5903 4.7709 12.0829
Zr 4.7709 1.5903 12.0829
```

Top 12 peaks for 2θ = 10–80°, low angle first:
2theta  I (rel.)
21.1  23
29.0  72
29.8  27
30.2  24
31.8  29
32.7  49
33.4  100
36.0  29
38.8  27
40.1  39
57.2  30
61.1  24


Entry 9:
Simulated X-ray diffraction stick pattern
Compound: LaMg6Cd4
Radiation: Cu Kα
Structure: a PBE-relaxed structure
Intensities are scaled so that the largest is 100.

Cell and atoms:
```
11
Lattice="8.0800 0.0000 0.0000 -4.0400 6.9975 0.0000 0.0000 0.0000 4.6501" Properties=species:S:1:pos:R:3 pbc="T T T"
La 0.0000 0.0000 0.0000
Mg 0.0000 2.8435 2.3250
Mg -1.5774 5.5758 2.3250
Mg 4.0400 0.4755 0.0000
Mg 2.4318 3.2610 0.0000
Mg 1.5774 5.5758 2.3250
Mg 5.6482 3.2610 0.0000
Cd 0.0000 4.6650 0.0000
Cd 2.4362 1.4065 2.3250
Cd 5.6438 1.4065 2.3250
Cd 4.0400 4.1844 2.3250
```

Top 12 peaks for 2θ = 10–80°, low angle first:
2theta  I (rel.)
23.0  81
25.5  59
29.3  100
32.0  89
33.9  69
38.7  43
39.2  43
43.4  74
44.9  38
52.4  39
60.7  37
61.1  25


Entry 10:
Simulated X-ray diffraction stick pattern
Compound: SmHg4Pd4
Radiation: Cu Kα
Structure: a PBE-relaxed structure
Intensities are scaled so that the largest is 100.

Cell and atoms:
```
18
Lattice="8.9556 0.0000 0.0000 0.0000 8.9556 0.0000 0.0000 0.0000 4.7854" Properties=species:S:1:pos:R:3 pbc="T T T"
Sm 2.2389 2.2389 1.1963
Sm 6.7167 6.7167 3.5890
Hg 0.9716 7.6049 3.3185
Hg 1.3507 5.4494 0.9258
Hg 3.1271 7.9840 0.9258
Hg 3.5062 5.8285 3.3185
Hg 5.4494 3.1271 1.4669
Hg 5.8285 0.9716 3.8596
Hg 7.6049 3.5062 3.8596
Hg 7.9840 1.3507 1.4669
Pd 0.5159 1.3224 3.8651
Pd 1.3224 3.9619 3.3130
Pd 3.1554 0.5159 3.3130
Pd 3.9619 3.1554 3.8651
Pd 4.9937 5.8002 0.9203
Pd 5.8002 8.4397 1.4724
Pd 7.6332 4.9937 1.4724
Pd 8.4397 7.6332 0.9203
```

Top 12 peaks for 2θ = 10–80°, low angle first:
2theta  I (rel.)
29.1  67
31.6  50
33.9  17
35.4  47
37.6  30
39.0  18
40.3  21
40.9  100
49.9  18
65.5  17
66.0  17
70.1  20


Entry 11:
Simulated X-ray diffraction stick pattern
Compound: Ba4Al5Zn2
Radiation: Cu Kα
Structure: a PBE-relaxed structure
Intensities are scaled so that the largest is 100.

Cell and atoms:
```
11
Lattice="8.1006 0.0000 0.0000 0.0000 3.9526 0.0000 -2.1924 0.0000 10.5884" Properties=species:S:1:pos:R:3 pbc="T T T"
Ba 0.2929 0.0000 3.9273
Ba 0.2205 0.0000 9.6475
Ba 5.6877 0.0000 0.9410
Ba 5.6153 0.0000 6.6612
Al 0.7778 1.9763 6.7996
Al 2.8975 1.9763 2.3248
Al 2.9541 1.9763 5.2942
Al 3.0108 1.9763 8.2637
Al 5.1304 1.9763 3.7888
Zn 0.5279 1.9763 1.1701
Zn 5.3803 1.9763 9.4183
```

Top 12 peaks for 2θ = 10–80°, low angle first:
2theta  I (rel.)
11.2  30
18.2  28
22.5  26
25.5  29
25.8  29
29.1  100
31.7  50
32.0  23
33.2  36
33.9  25
34.0  39
34.3  27


Entry 12:
Simulated X-ray diffraction stick pattern
Compound: CsRb2H6Os
Radiation: Cu Kα
Structure: a PBE-relaxed structure
Intensities are scaled so that the largest is 100.

Cell and atoms:
```
10
Lattice="0.0000 4.4841 4.4841 4.4841 0.0000 4.4841 4.4841 4.4841 0.0000" Properties=species:S:1:pos:R:3 pbc="T T T"
Cs 0.0000 0.0000 0.0000
Rb 2.2421 2.2421 2.2421
Rb 6.7262 6.7262 6.7262
H 4.4841 4.4841 2.7568
H 4.4841 2.7568 4.4841
H 6.2115 4.4841 4.4841
H 2.7568 4.4841 4.4841
H 4.4841 6.2115 4.4841
H 4.4841 4.4841 6.2115
Os 4.4841 4.4841 4.4841
```

Top 12 peaks for 2θ = 10–80°, low angle first:
2theta  I (rel.)
17.1  3
19.8  10
28.1  100
33.1  2
34.6  3
40.2  20
45.2  5
49.8  41
58.2  13
62.1  2
65.9  18
73.1  4